Computed X-ray diffraction stick pattern
Compound: Zr3NiSb7
Radiation: copper Kα
Structure: a DFT-relaxed cell (GGA-PBE, Alexandria)
Kinematic intensities with the Lorentz-polarization factor, no thermal factor.

Crystal structure
abc: 17.7126 3.9595 14.5028
angles: 90.00 90.00 90.00
Fractional positions:
Zr 0.1075 0.2500 0.0905
Zr 0.1298 0.2500 0.5287
Zr 0.1541 0.2500 0.8090
Zr 0.3459 0.7500 0.3090
Zr 0.3702 0.7500 0.0287
Zr 0.3925 0.7500 0.5905
Zr 0.6075 0.2500 0.4095
Zr 0.6298 0.2500 0.9713
Zr 0.6541 0.2500 0.6910
Zr 0.8459 0.7500 0.1910
Zr 0.8702 0.7500 0.4713
Zr 0.8925 0.7500 0.9095
Ni 0.0625 0.2500 0.3109
Ni 0.4375 0.7500 0.8109
Ni 0.5625 0.2500 0.1891
Ni 0.9375 0.7500 0.6891
Sb 0.0207 0.7500 0.2020
Sb 0.0371 0.7500 0.4239
Sb 0.0713 0.7500 0.9392
Sb 0.0912 0.7500 0.6749
Sb 0.2086 0.2500 0.3147
Sb 0.2278 0.7500 0.1454
Sb 0.2479 0.7500 0.4788
Sb 0.2521 0.2500 0.9788
Sb 0.2722 0.2500 0.6454
Sb 0.2914 0.7500 0.8147
Sb 0.4088 0.2500 0.1749
Sb 0.4287 0.2500 0.4392
Sb 0.4629 0.2500 0.9239
Sb 0.4793 0.2500 0.7020
Sb 0.5207 0.7500 0.2980
Sb 0.5371 0.7500 0.0761
Sb 0.5713 0.7500 0.5608
Sb 0.5912 0.7500 0.8251
Sb 0.7086 0.2500 0.1853
Sb 0.7278 0.7500 0.3546
Sb 0.7479 0.7500 0.0212
Sb 0.7521 0.2500 0.5212
Sb 0.7722 0.2500 0.8546
Sb 0.7914 0.7500 0.6853
Sb 0.9088 0.2500 0.3251
Sb 0.9287 0.2500 0.0608
Sb 0.9629 0.2500 0.5761
Sb 0.9793 0.2500 0.7980

Principal peaks in the range 2θ = 5–70°, low angle first:
d 2.952, rel. 28
d 2.893, rel. 40
d 2.719, rel. 45
d 2.644, rel. 100
d 2.534, rel. 21
d 2.392, rel. 16
d 2.317, rel. 28
d 1.980, rel. 33


Computed X-ray diffraction stick pattern
Compound: Na3GaSn
Radiation: copper Kα
Structure: a DFT-relaxed cell (GGA-PBE, Alexandria)
Kinematic intensities with the Lorentz-polarization factor, no thermal factor.

Crystal structure
abc: 7.4318 7.4318 7.2982
angles: 119.07 119.07 81.16
Fractional positions:
Na 0.0591 0.0591 0.2902
Na 0.0841 0.4887 0.8074
Na 0.4887 0.0841 0.8074
Na 0.5113 0.9159 0.1926
Na 0.9159 0.5113 0.1926
Na 0.9409 0.9409 0.7098
Ga 0.2662 0.2662 0.1216
Ga 0.7338 0.7338 0.8784
Sn 0.4220 0.4220 0.6172
Sn 0.5780 0.5780 0.3828

Principal peaks in the range 2θ = 5–70°, low angle first:
d 6.458, rel. 100
d 5.825, rel. 50
d 4.835, rel. 94
d 2.912, rel. 52
d 2.697, rel. 32
d 2.417, rel. 29
d 2.358, rel. 57
d 2.345, rel. 63


Computed X-ray diffraction stick pattern
Compound: Cs5Au2F2
Radiation: copper Kα
Structure: a DFT-relaxed cell (GGA-PBE, Alexandria)
Kinematic intensities with the Lorentz-polarization factor, no thermal factor.

Crystal structure
abc: 8.6965 8.6965 8.7021
angles: 112.21 112.21 40.41
Fractional positions:
Cs 0.0000 0.0000 0.0000
Cs 0.1538 0.1538 0.5564
Cs 0.3483 0.3483 0.0990
Cs 0.6517 0.6517 0.9010
Cs 0.8462 0.8462 0.4436
Au 0.3980 0.3980 0.7083
Au 0.6020 0.6020 0.2917
F 0.1536 0.1536 0.8845
F 0.8464 0.8464 0.1155

Principal peaks in the range 2θ = 5–70°, low angle first:
d 4.070, rel. 31
d 3.735, rel. 29
d 3.499, rel. 100
d 3.099, rel. 66
d 3.004, rel. 50
d 2.721, rel. 22
d 2.416, rel. 23
d 1.796, rel. 23


Computed X-ray diffraction stick pattern
Compound: Hg4As5Cl2
Radiation: copper Kα
Structure: a DFT-relaxed cell (GGA-PBE, Alexandria)
Kinematic intensities with the Lorentz-polarization factor, no thermal factor.

Crystal structure
abc: 6.4079 6.4079 7.9466
angles: 92.39 92.39 81.61
Fractional positions:
Hg 0.1348 0.1348 0.2198
Hg 0.2517 0.2517 0.6444
Hg 0.7482 0.7482 0.3556
Hg 0.8652 0.8652 0.7802
As 0.1770 0.7457 0.3490
As 0.2543 0.8230 0.6510
As 0.5000 0.5000 0.5000
As 0.7457 0.1770 0.3490
As 0.8230 0.2543 0.6510
Cl 0.3156 0.3156 0.0126
Cl 0.6844 0.6844 0.9874

Principal peaks in the range 2θ = 5–70°, low angle first:
d 7.935, rel. 58
d 6.335, rel. 25
d 4.188, rel. 49
d 3.309, rel. 100
d 3.168, rel. 50
d 2.979, rel. 54
d 2.866, rel. 26
d 2.067, rel. 34


Computed X-ray diffraction stick pattern
Compound: TbDy7Sc3
Radiation: copper Kα
Structure: a DFT-relaxed cell (GGA-PBE, Alexandria)
Kinematic intensities with the Lorentz-polarization factor, no thermal factor.

Crystal structure
abc: 9.5996 9.5996 10.9613
angles: 90.20 90.20 139.04
Fractional positions:
Tb 0.0000 0.0000 0.0000
Tb 0.5000 0.5000 0.5000
Dy 0.0868 0.4123 0.5367
Dy 0.0896 0.4151 0.9627
Dy 0.1648 0.3467 0.2495
Dy 0.2430 0.2430 0.7492
Dy 0.3467 0.1648 0.2495
Dy 0.4123 0.0868 0.5367
Dy 0.4151 0.0896 0.9627
Dy 0.5849 0.9104 0.0373
Dy 0.5877 0.9132 0.4633
Dy 0.6533 0.8352 0.7505
Dy 0.7570 0.7570 0.2508
Dy 0.8352 0.6533 0.7505
Dy 0.9104 0.5849 0.0373
Dy 0.9132 0.5877 0.4633
Sc 0.0000 0.0000 0.5000
Sc 0.2470 0.7503 0.7499
Sc 0.2497 0.7530 0.2501
Sc 0.5000 0.5000 0.0000
Sc 0.7503 0.2470 0.7499
Sc 0.7530 0.2497 0.2501

Principal peaks in the range 2θ = 5–70°, low angle first:
d 3.358, rel. 42
d 3.045, rel. 55
d 2.839, rel. 43
d 2.740, rel. 100
d 2.717, rel. 51
d 2.691, rel. 35
d 2.630, rel. 65
d 2.343, rel. 21


Computed X-ray diffraction stick pattern
Compound: Pr3Au5
Radiation: copper Kα
Structure: a DFT-relaxed cell (GGA-PBE, Alexandria)
Kinematic intensities with the Lorentz-polarization factor, no thermal factor.

Crystal structure
abc: 11.5573 7.9257 9.4521
angles: 82.87 42.88 54.25
Fractional positions:
Pr 0.0000 0.0000 0.0000
Pr 0.2500 0.2500 0.2500
Pr 0.3926 0.6264 0.2714
Pr 0.5403 0.9786 0.6236
Pr 0.6264 0.3926 0.7097
Pr 0.9786 0.5403 0.8574
Au 0.1356 0.5385 0.0366
Au 0.2134 0.9607 0.1144
Au 0.4322 0.8612 0.4522
Au 0.4475 0.4475 0.5525
Au 0.5385 0.1356 0.2893
Au 0.6975 0.6975 0.8025
Au 0.7978 0.9956 0.8178
Au 0.8612 0.4322 0.2544
Au 0.9607 0.2134 0.7115
Au 0.9956 0.7978 0.3888

Principal peaks in the range 2θ = 5–70°, low angle first:
d 4.093, rel. 51
d 3.210, rel. 53
d 2.814, rel. 69
d 2.762, rel. 83
d 2.610, rel. 50
d 2.413, rel. 100
d 2.132, rel. 60
d 2.123, rel. 43


Computed X-ray diffraction stick pattern
Compound: Nb2Pb2O7
Radiation: copper Kα
Structure: a DFT-relaxed cell (GGA-PBE, Alexandria)
Kinematic intensities with the Lorentz-polarization factor, no thermal factor.

Crystal structure
abc: 7.6821 7.6821 7.6821
angles: 60.00 60.00 60.00
Fractional positions:
Nb 0.0000 0.0000 0.0000
Nb 0.0000 0.0000 0.5000
Nb 0.0000 0.5000 0.0000
Nb 0.5000 0.0000 0.0000
Pb 0.0000 0.5000 0.5000
Pb 0.5000 0.0000 0.5000
Pb 0.5000 0.5000 0.0000
Pb 0.5000 0.5000 0.5000
O 0.0607 0.0607 0.6893
O 0.0607 0.6893 0.0607
O 0.0607 0.6893 0.6893
O 0.3107 0.3107 0.9393
O 0.3107 0.9393 0.3107
O 0.3107 0.9393 0.9393
O 0.3750 0.3750 0.3750
O 0.6250 0.6250 0.6250
O 0.6893 0.0607 0.0607
O 0.6893 0.0607 0.6893
O 0.6893 0.6893 0.0607
O 0.9393 0.3107 0.3107
O 0.9393 0.3107 0.9393
O 0.9393 0.9393 0.3107

Principal peaks in the range 2θ = 5–70°, low angle first:
d 6.272, rel. 10
d 3.276, rel. 8
d 3.136, rel. 100
d 2.716, rel. 38
d 2.492, rel. 11
d 1.921, rel. 43
d 1.638, rel. 45
d 1.568, rel. 13